Structure and theoretical powder X-ray diffraction pattern of PaCl3F3 (a structure optimized by DFT (PBE); copper Kα).

Principal peaks in the range 10° ≤ 2θ ≤ 90°, low angle first:
- d = 5.181 Å, I 100
- d = 4.846 Å, I 92
- d = 3.539 Å, I 58
- d = 2.858 Å, I 37
- d = 2.591 Å, I 32
- d = 2.285 Å, I 33

Atomic structure:
```
PaCl3F3
1.0
4.8462 2.7979 2.1953
-4.8462 2.7979 2.1953
0.0000 -5.5959 2.1953
Pa Cl F
1 3 3
Cartesian
0.0000 0.0000 0.0000
0.0000 -1.9031 4.7326
-1.6481 0.9515 4.7326
1.6481 0.9515 4.7326
0.0000 -1.6766 1.1885
-1.4520 0.8383 1.1885
1.4520 0.8383 1.1885
```